Sr2CrSbO6: computed XRD peak list (copper Kα), based on a cell relaxed with PBE+U.
Lines closer than 0.1° are merged.

Cell: 9.782 5.642 5.694 Å, 90.00 125.57 90.00°
Space group C2/m (No. 12)
Symmetry-distinct sites (fractional):
Sr1 0.250 0.000 0.246 x4
Cr1 0.000 0.000 0.500 x2
Sb1 0.000 0.500 0.000 x2
O1 0.032 0.252 0.784 x8
O2 0.248 0.500 0.307 x4

Top 10 peaks for 10 to 90 degrees two-theta, low angle first:
| 2theta | I_rel | index |
| --- | --- | --- |
| 31.4 | 19 | 2 0 -2 |
| 31.7 | 100 | 1 1 1 |
| 45.3 | 27 | 2 2 -2 |
| 45.6 | 13 | 4 0 0 |
| 56.1 | 17 | 5 1 -3 |
| 56.5 | 23 | 2 0 2 |
| 56.6 | 8 | 4 2 0 |
| 66.2 | 19 | 0 4 0 |
| 75.0 | 7 | 5 3 -3 |
| 75.5 | 7 | 5 1 1 |

Tb2CrSbO7: computed XRD peak list (copper Kα), based on a cell relaxed with PBE+U.
Lines closer than 0.1° are merged.

Cell: 7.268 7.361 10.283 Å, 90.00 90.00 90.00°
Space group Imma (No. 74)
Symmetry-distinct sites (fractional):
Tb1 0.000 0.000 0.000 x4
Tb2 0.250 0.250 0.250 x4
Cr1 0.250 0.250 0.750 x4
Sb1 0.000 0.000 0.500 x4
O1 0.000 0.250 0.128 x4
O2 0.000 0.250 0.418 x4
O3 0.000 0.250 0.840 x4
O4 0.205 0.038 0.626 x16

Top 10 peaks for 10 to 90 degrees two-theta, low angle first:
| 2theta | I_rel | index |
| --- | --- | --- |
| 14.8 | 20 | 0 1 1 |
| 29.9 | 100 | 0 2 2 |
| 30.1 | 99 | 2 0 2 |
| 34.7 | 43 | 2 2 0 |
| 34.9 | 21 | 0 0 4 |
| 49.5 | 16 | 0 4 0 |
| 50.0 | 63 | 2 2 4 |
| 50.2 | 15 | 4 0 0 |
| 59.1 | 29 | 2 4 2 |
| 59.5 | 42 | 0 2 6 |

Ti2Cr3Sb3O16: computed XRD peak list (copper Kα), based on a cell relaxed with PBE+U.
Lines closer than 0.1° are merged.

Cell: 10.550 6.111 9.106 Å, 90.00 90.43 90.00°
Space group Cm (No. 8)
Symmetry-distinct sites (fractional):
Ti1 0.000 0.000 0.000 x2
Ti2 0.173 0.500 0.529 x2
Cr1 0.022 0.500 0.234 x2
Cr2 0.435 0.252 0.733 x4
Sb1 0.183 0.000 0.734 x2
Sb2 0.269 0.252 0.236 x4
O1 0.019 0.000 0.625 x2
O2 0.023 0.500 0.624 x2
O3 0.088 0.212 0.868 x4
O4 0.116 0.287 0.362 x4
O5 0.186 0.000 0.125 x2
O6 0.186 0.500 0.118 x2
O7 0.262 0.257 0.622 x4
O8 0.334 0.500 0.364 x2
O9 0.350 0.000 0.834 x2
O10 0.354 0.000 0.344 x2
O11 0.373 0.500 0.863 x2
O12 0.433 0.254 0.124 x4

Top 10 peaks for 10 to 90 degrees two-theta, low angle first:
| 2theta | I_rel | index |
| --- | --- | --- |
| 16.8 | 16 | 2 0 0 |
| 19.4 | 54 | 1 1 1 |
| 19.5 | 100 | 0 0 2 |
| 25.8 | 18 | 2 0 -2 |
| 34.0 | 29 | 2 2 0 |
| 35.4 | 76 | 4 0 -1 |
| 35.5 | 20 | 4 0 1 |
| 45.4 | 28 | 4 0 -3 |
| 45.6 | 19 | 2 2 3 |
| 60.8 | 19 | 6 2 0 |

Ti3Cr3Sb2O16: computed XRD peak list (copper Kα), based on a cell relaxed with PBE+U.
Lines closer than 0.1° are merged.

Cell: 5.959 5.988 9.334 Å, 89.77 89.93 60.19°
Space group P1 (No. 1)
Symmetry-distinct sites (fractional):
Ti1 0.000 0.000 0.000 x1
Ti2 0.176 0.657 0.488 x1
Ti3 0.505 0.497 0.001 x1
Cr1 0.164 0.173 0.499 x1
Cr2 0.507 0.003 0.998 x1
Cr3 0.674 0.671 0.509 x1
Sb1 0.001 0.495 0.777 x1
Sb2 0.667 0.158 0.279 x1
O1 0.161 0.169 0.890 x1
O2 0.161 0.658 0.895 x1
O3 0.287 0.365 0.627 x1
O4 0.333 0.828 0.093 x1
O5 0.343 0.826 0.590 x1
O6 0.380 0.312 0.129 x1
O7 0.503 0.996 0.389 x1
O8 0.505 0.488 0.391 x1
O9 0.674 0.657 0.891 x1
O10 0.676 0.174 0.892 x1
O11 0.814 0.307 0.130 x1
O12 0.818 0.876 0.128 x1
O13 0.851 0.360 0.627 x1
O14 0.852 0.789 0.628 x1
O15 0.989 0.513 0.395 x1
O16 0.995 0.994 0.392 x1

Top 10 peaks for 10 to 90 degrees two-theta, low angle first:
| 2theta | I_rel | index |
| --- | --- | --- |
| 19.6 | 100 | 1 1 1 |
| 19.6 | 49 | 1 1 -1 |
| 25.7 | 24 | 1 0 -2 |
| 25.7 | 22 | 1 1 -2 |
| 33.6 | 23 | 1 0 -3 |
| 33.6 | 22 | 1 0 3 |
| 35.6 | 21 | -1 1 2 |
| 35.7 | 31 | 1 -1 2 |
| 36.1 | 24 | 2 2 -1 |
| 45.6 | 23 | 2 2 3 |

V3Cr3Sb2O16: computed XRD peak list (copper Kα), based on a cell relaxed with PBE+U.
Lines closer than 0.1° are merged.

Cell: 5.938 5.953 9.341 Å, 89.34 89.70 60.21°
Space group P1 (No. 1)
Symmetry-distinct sites (fractional):
V1 0.000 0.000 0.000 x1
V2 0.009 0.491 0.984 x1
V3 0.172 0.656 0.494 x1
Cr1 0.495 0.994 0.988 x1
Cr2 0.663 0.658 0.487 x1
Cr3 0.664 0.166 0.488 x1
Sb1 0.180 0.157 0.269 x1
Sb2 0.514 0.484 0.768 x1
O1 0.017 0.485 0.384 x1
O2 0.017 0.987 0.385 x1
O3 0.154 0.160 0.886 x1
O4 0.181 0.646 0.884 x1
O5 0.307 0.868 0.120 x1
O6 0.311 0.306 0.114 x1
O7 0.344 0.358 0.618 x1
O8 0.346 0.782 0.618 x1
O9 0.475 0.507 0.384 x1
O10 0.508 0.991 0.375 x1
O11 0.672 0.157 0.877 x1
O12 0.673 0.650 0.881 x1
O13 0.791 0.347 0.616 x1
O14 0.843 0.826 0.082 x1
O15 0.852 0.816 0.581 x1
O16 0.880 0.309 0.119 x1

Top 10 peaks for 10 to 90 degrees two-theta, low angle first:
| 2theta | I_rel | index |
| --- | --- | --- |
| 19.6 | 71 | 0 1 1 |
| 19.7 | 100 | 1 0 -1 |
| 19.8 | 34 | 1 1 -1 |
| 25.9 | 23 | 1 1 -2 |
| 33.5 | 22 | 1 1 3 |
| 33.6 | 21 | 1 0 -3 |
| 35.6 | 29 | 1 2 2 |
| 35.8 | 30 | 2 1 2 |
| 36.0 | 36 | 2 1 -2 |
| 36.2 | 36 | 2 0 1 |

V2Cr3Sb3O16: computed XRD peak list (copper Kα), based on a cell relaxed with PBE+U.
Lines closer than 0.1° are merged.

Cell: 10.525 6.119 9.060 Å, 90.00 90.27 90.00°
Space group Cm (No. 8)
Symmetry-distinct sites (fractional):
V1 0.000 0.000 0.000 x2
V2 0.177 0.500 0.525 x2
Cr1 0.158 0.000 0.291 x2
Cr2 0.241 0.249 0.795 x4
Sb1 0.410 0.252 0.288 x4
Sb2 0.494 0.000 0.788 x2
O1 0.064 0.211 0.160 x4
O2 0.091 0.287 0.655 x4
O3 0.154 0.000 0.899 x2
O4 0.158 0.500 0.901 x2
O5 0.246 0.255 0.398 x4
O6 0.302 0.500 0.660 x2
O7 0.326 0.000 0.179 x2
O8 0.326 0.000 0.691 x2
O9 0.348 0.500 0.155 x2
O10 0.416 0.258 0.900 x4
O11 0.492 0.500 0.406 x2
O12 0.495 0.000 0.398 x2

Top 10 peaks for 10 to 90 degrees two-theta, low angle first:
| 2theta | I_rel | index |
| --- | --- | --- |
| 19.4 | 58 | 1 1 1 |
| 19.6 | 100 | 0 0 2 |
| 25.9 | 29 | 2 0 -2 |
| 35.4 | 56 | 2 2 -1 |
| 35.5 | 23 | 4 0 -1 |
| 35.6 | 20 | 4 0 1 |
| 39.5 | 22 | 2 2 2 |
| 45.5 | 20 | 2 2 -3 |
| 45.6 | 29 | 2 2 3 |
| 60.9 | 21 | 6 2 0 |

Y2CrSbO7: computed XRD peak list (copper Kα), based on a cell relaxed with PBE+U.
Lines closer than 0.1° are merged.

Cell: 7.262 7.346 10.288 Å, 90.00 90.00 90.00°
Space group Imma (No. 74)
Symmetry-distinct sites (fractional):
Y1 0.000 0.000 0.000 x4
Y2 0.250 0.250 0.250 x4
Cr1 0.250 0.250 0.750 x4
Sb1 0.000 0.000 0.500 x4
O1 0.000 0.250 0.128 x4
O2 0.000 0.250 0.419 x4
O3 0.000 0.250 0.840 x4
O4 0.205 0.038 0.626 x16

Top 10 peaks for 10 to 90 degrees two-theta, low angle first:
| 2theta | I_rel | index |
| --- | --- | --- |
| 29.9 | 100 | 0 2 2 |
| 30.1 | 100 | 2 0 2 |
| 34.7 | 35 | 2 2 0 |
| 34.9 | 17 | 0 0 4 |
| 49.6 | 18 | 0 4 0 |
| 50.1 | 67 | 2 2 4 |
| 50.3 | 16 | 4 0 0 |
| 59.2 | 27 | 2 4 2 |
| 59.6 | 40 | 0 2 6 |
| 59.6 | 13 | 2 0 6 |

Zn2CrSbO6: computed XRD peak list (copper Kα), based on a cell relaxed with PBE+U.
Lines closer than 0.1° are merged.

Cell: 5.250 7.712 5.303 Å, 90.00 90.04 90.00°
Space group P2_1/m (No. 11)
Symmetry-distinct sites (fractional):
Zn1 0.013 0.250 0.446 x2
Zn2 0.481 0.750 0.019 x2
Cr1 0.000 0.000 0.000 x2
Sb1 0.500 0.000 0.500 x2
O1 0.113 0.750 0.923 x2
O2 0.181 0.067 0.677 x4
O3 0.328 0.067 0.182 x4
O4 0.369 0.750 0.423 x2

Top 10 peaks for 10 to 90 degrees two-theta, low angle first:
| 2theta | I_rel | index |
| --- | --- | --- |
| 33.4 | 100 | 1 2 1 |
| 33.8 | 23 | 0 0 2 |
| 34.2 | 22 | 2 0 0 |
| 47.1 | 13 | 0 4 0 |
| 48.8 | 21 | 2 0 2 |
| 59.3 | 11 | 0 4 2 |
| 59.5 | 11 | 2 4 0 |
| 60.2 | 18 | 1 2 3 |
| 60.7 | 24 | 3 2 1 |
| 70.2 | 12 | 2 4 2 |